(1)
Starting from a DFT-relaxed cell (PBE, Alexandria), the XRD peak list of NaYF4 was calculated for Cu Kα (λ = 1.5418 Å).
Kinematic intensities with the Lorentz-polarization factor, no thermal factor.

Most intense lines, 10 to 80 degrees two-theta, in order of falling intensity:
d [Å], Position (°2θ), Rel. int.
3.159, 28.25, 100
1.943, 46.76, 63
5.564, 15.93, 45
1.919, 47.37, 31
3.838, 23.17, 27
1.640, 56.07, 27
1.670, 54.99, 14
2.252, 40.03, 13
2.439, 36.85, 12
1.260, 75.46, 11

Cell: 3.838 3.838 5.564 Å, 90.00 90.00 90.00°
Element x y z (fractional)
Na 0.000 0.000 0.000
Y 0.500 0.500 0.500
F 0.000 0.500 0.270
F 0.000 0.500 0.730
F 0.500 0.000 0.270
F 0.500 0.000 0.730

(2)
Starting from a DFT-relaxed cell (PBE, Alexandria), the XRD peak list of Cs2AlGaSe4 was calculated for Cu Kα (λ = 1.5418 Å).
Kinematic intensities with the Lorentz-polarization factor, no thermal factor.

Most intense lines, 10 to 80 degrees two-theta, in order of falling intensity:
d [Å], Position (°2θ), Rel. int.
3.502, 25.43, 100
3.079, 29.00, 52
3.712, 23.97, 30
1.917, 47.42, 25
2.509, 35.78, 25
1.854, 49.14, 24
3.004, 29.74, 22
3.228, 27.63, 22
1.982, 45.79, 17
2.126, 42.52, 15

Cell: 14.850 13.277 7.959 Å, 84.82 62.92 32.26°
Element x y z (fractional)
Cs 0.055 0.055 0.695
Cs 0.305 0.305 0.945
Cs 0.695 0.695 0.055
Cs 0.945 0.945 0.305
Al 0.125 0.125 0.125
Al 0.875 0.875 0.875
Ga 0.375 0.375 0.375
Ga 0.625 0.625 0.625
Se 0.021 0.331 0.411
Se 0.263 0.589 0.669
Se 0.331 0.021 0.737
Se 0.411 0.737 0.021
Se 0.589 0.263 0.979
Se 0.669 0.979 0.263
Se 0.737 0.411 0.331
Se 0.979 0.669 0.589

(3)
Starting from a DFT-relaxed cell (PBE, Alexandria), the XRD peak list of Ag4Sn2Hg3Se9 was calculated for Cu Kα (λ = 1.5418 Å).
Kinematic intensities with the Lorentz-polarization factor, no thermal factor.

Most intense lines, 10 to 80 degrees two-theta, in order of falling intensity:
d [Å], Position (°2θ), Rel. int.
3.560, 25.02, 100
2.181, 41.39, 47
3.578, 24.89, 36
2.190, 41.23, 30
1.857, 49.06, 21
2.172, 41.57, 16
1.867, 48.77, 15
1.854, 49.13, 10
1.257, 75.64, 9
1.862, 48.91, 9

Cell: 7.548 7.574 10.676 Å, 90.45 90.09 119.85°
Element x y z (fractional)
Ag 0.000 0.000 0.000
Ag 0.008 0.338 0.663
Ag 0.024 0.668 0.304
Ag 0.337 0.659 0.993
Sn 0.335 0.000 0.659
Sn 0.663 0.329 0.002
Hg 0.334 0.353 0.341
Hg 0.684 0.720 0.633
Hg 0.700 0.020 0.330
Se 0.008 0.356 0.417
Se 0.023 0.014 0.748
Se 0.338 0.331 0.077
Se 0.339 0.003 0.415
Se 0.343 0.682 0.742
Se 0.665 0.003 0.072
Se 0.665 0.334 0.748
Se 0.697 0.676 0.392
Se 0.997 0.658 0.059

(4)
Starting from a DFT-relaxed cell (PBE, Alexandria), the XRD peak list of NdGe4Pt12 was calculated for Cu Kα (λ = 1.5418 Å).
Kinematic intensities with the Lorentz-polarization factor, no thermal factor.

Most intense lines, 10 to 80 degrees two-theta, in order of falling intensity:
d [Å], Position (°2θ), Rel. int.
2.717, 32.97, 100
2.296, 39.24, 37
1.685, 54.46, 31
1.267, 74.98, 17
1.754, 52.16, 15
1.921, 47.32, 13
1.432, 65.15, 12
1.473, 63.10, 11
1.832, 49.78, 7
1.215, 78.77, 6

Cell: 7.440 7.440 7.440 Å, 109.47 109.47 109.47°
Element x y z (fractional)
Nd 0.000 0.000 0.000
Ge 0.000 0.000 0.500
Ge 0.000 0.500 0.000
Ge 0.500 0.000 0.000
Ge 0.500 0.500 0.500
Pt 0.157 0.502 0.345
Pt 0.157 0.812 0.655
Pt 0.188 0.345 0.843
Pt 0.345 0.157 0.502
Pt 0.345 0.843 0.188
Pt 0.498 0.655 0.843
Pt 0.502 0.345 0.157
Pt 0.655 0.157 0.812
Pt 0.655 0.843 0.498
Pt 0.812 0.655 0.157
Pt 0.843 0.188 0.345
Pt 0.843 0.498 0.655

Copy entry 3 word for word.
Starting from a DFT-relaxed cell (PBE, Alexandria), the XRD peak list of Ag4Sn2Hg3Se9 was calculated for Cu Kα (λ = 1.5418 Å).
Kinematic intensities with the Lorentz-polarization factor, no thermal factor.

Most intense lines, 10 to 80 degrees two-theta, in order of falling intensity:
d [Å], Position (°2θ), Rel. int.
3.560, 25.02, 100
2.181, 41.39, 47
3.578, 24.89, 36
2.190, 41.23, 30
1.857, 49.06, 21
2.172, 41.57, 16
1.867, 48.77, 15
1.854, 49.13, 10
1.257, 75.64, 9
1.862, 48.91, 9

Cell: 7.548 7.574 10.676 Å, 90.45 90.09 119.85°
Element x y z (fractional)
Ag 0.000 0.000 0.000
Ag 0.008 0.338 0.663
Ag 0.024 0.668 0.304
Ag 0.337 0.659 0.993
Sn 0.335 0.000 0.659
Sn 0.663 0.329 0.002
Hg 0.334 0.353 0.341
Hg 0.684 0.720 0.633
Hg 0.700 0.020 0.330
Se 0.008 0.356 0.417
Se 0.023 0.014 0.748
Se 0.338 0.331 0.077
Se 0.339 0.003 0.415
Se 0.343 0.682 0.742
Se 0.665 0.003 0.072
Se 0.665 0.334 0.748
Se 0.697 0.676 0.392
Se 0.997 0.658 0.059